(1)
Cu9Te2: theoretical X-ray powder pattern (λ = 1.5418 Å (Cu Kα)), based on DFT lattice parameters and positions (PBE).
Neutral-atom scattering factors, no anomalous dispersion.

Crystal structure
abc: 2.890 2.890 44.036
angles: 90.00 90.00 90.00
Space group P4/nmm (No. 129, origin choice 2)
Symmetry-distinct sites (fractional):
Cu 0.250 0.250 0.016 [2 per cell]
Cu 0.250 0.250 0.081 [2 per cell]
Cu 0.250 0.250 0.145 [2 per cell]
Cu 0.250 0.250 0.210 [2 per cell]
Cu 0.250 0.250 0.275 [2 per cell]
Cu 0.250 0.250 0.758 [2 per cell]
Cu 0.250 0.250 0.822 [2 per cell]
Cu 0.250 0.250 0.887 [2 per cell]
Cu 0.250 0.250 0.952 [2 per cell]
Te 0.250 0.250 0.410 [2 per cell]
Te 0.250 0.250 0.676 [2 per cell]

Peak list (6 most intense, 10° ≤ 2θ ≤ 90°, by angle)
2θ = 35.07°, 2.559 Å, I 19, (1 0 8); 2θ = 43.97°, 2.059 Å, I 100, (1 0 15); 2θ = 44.33°, 2.043 Å, I 72, (1 1 0); 2θ = 45.51°, 1.993 Å, I 23, (1 0 16); 2θ = 64.49°, 1.445 Å, I 22, (2 0 0); 2θ = 81.35°, 1.183 Å, I 30, (2 1 15)

---

(2)
Cu15Te8: theoretical X-ray powder pattern (λ = 1.5418 Å (Cu Kα)), based on DFT lattice parameters and positions (PBE).
Neutral-atom scattering factors, no anomalous dispersion.

Crystal structure
abc: 8.3865 8.3865 33.5771
angles: 90.00 90.00 120.00
Space group P3m1 (No. 156)
Symmetry-distinct sites (fractional):
Cu 0.0000 0.0000 0.0000 [1 per cell]
Cu 0.0000 0.0000 0.1972 [1 per cell]
Cu 0.0038 0.5019 0.0470 [3 per cell]
Cu 0.0086 0.5043 0.2631 [3 per cell]
Cu 0.1509 0.3018 0.2397 [3 per cell]
Cu 0.1592 0.3183 0.0248 [3 per cell]
Cu 0.1743 0.3485 0.3155 [3 per cell]
Cu 0.1839 0.3678 0.1002 [3 per cell]
Cu 0.3092 0.1546 0.0757 [3 per cell]
Cu 0.3122 0.1561 0.2918 [3 per cell]
Cu 0.3333 0.6667 0.1442 [1 per cell]
Cu 0.3333 0.6667 0.3383 [1 per cell]
Cu 0.6667 0.3333 0.0752 [1 per cell]
Cu 0.6667 0.3333 0.2909 [1 per cell]
Te 0.0000 0.0000 0.1177 [1 per cell]
Te 0.0000 0.0000 0.3349 [1 per cell]
Te 0.3333 0.6667 0.0071 [1 per cell]
Te 0.3333 0.6667 0.2232 [1 per cell]
Te 0.3621 0.1810 0.9978 [3 per cell]
Te 0.3644 0.1822 0.2145 [3 per cell]
Te 0.5136 0.0272 0.3427 [3 per cell]
Te 0.5143 0.0285 0.1261 [3 per cell]

Peak list (6 most intense, 10° ≤ 2θ ≤ 90°, by angle)
2θ = 10.54°, 8.394 Å, I 100, (0 0 4); 2θ = 26.75°, 3.333 Å, I 59, (2 0 4); 2θ = 42.97°, 2.105 Å, I 53, (2 0 13); 2θ = 43.15°, 2.097 Å, I 92, (2 2 0); 2θ = 43.24°, 2.093 Å, I 99, (2 2 1); 2θ = 45.31°, 2.001 Å, I 64, (2 0 14)

---

(3)
Cu7Te4: theoretical X-ray powder pattern (λ = 1.5418 Å (Cu Kα)), based on DFT lattice parameters and positions (PBE).
Neutral-atom scattering factors, no anomalous dispersion.

Crystal structure
abc: 8.3019 8.3019 7.2308
angles: 90.00 90.00 120.00
Space group P-3m1 (No. 164)
Symmetry-distinct sites (fractional):
Cu 0.0342 0.5171 0.3281 [6 per cell]
Cu 0.1732 0.3465 0.5700 [6 per cell]
Cu 0.3333 0.6667 0.1278 [2 per cell]
Te 0.1498 0.2995 0.2083 [6 per cell]
Te 0.3333 0.6667 0.7597 [2 per cell]

Peak list (6 most intense, 10° ≤ 2θ ≤ 90°, by angle)
2θ = 24.62°, 3.615 Å, I 36, (0 0 2); 2θ = 24.75°, 3.597 Å, I 34, (2 0 0); 2θ = 27.70°, 3.221 Å, I 86, (2 0 1); 2θ = 41.57°, 2.172 Å, I 39, (1 2 2); 2θ = 43.61°, 2.075 Å, I 100, (2 2 0); 2θ = 45.30°, 2.002 Å, I 96, (2 0 3)